Entry 1:
BaSn: theoretical XRD peak list (Cu Kα, 1.54184 Å), based on a PBE-relaxed structure.

Largest 8 diffraction maxima, in order of falling intensity, 2θ = 10–90°:
2θ/deg, I (rel.)
26.06, 100
32.85, 87
33.35, 36
26.71, 36
38.09, 25
33.88, 25
27.93, 23
51.51, 22

Structure:
```
data_BaSn
_cell_length_a 5.3737
_cell_length_b 12.7759
_cell_length_c 4.7249
_cell_angle_alpha 90.00
_cell_angle_beta 90.00
_cell_angle_gamma 90.00
_symmetry_space_group_name_H-M 'C m c m'
_symmetry_Int_Tables_number 63
_symmetry_space_group_name_Hall '-C 2c 2'
loop_
_atom_site_label
_atom_site_type_symbol
_atom_site_fract_x
_atom_site_fract_y
_atom_site_fract_z
Ba1 Ba 0.0000 0.1357 0.2500
Sn1 Sn 0.0000 0.4270 0.2500
```



Entry 2:
InPbCl3: theoretical XRD peak list (Cu Kα, 1.54184 Å), based on a PBE-relaxed structure.

Largest 8 diffraction maxima, in order of falling intensity, 2θ = 10–90°:
2θ/deg, I (rel.)
20.91, 100
32.91, 45
42.04, 45
28.21, 41
21.63, 36
29.45, 28
42.22, 27
47.42, 24

Structure:
```
data_InPbCl3
_cell_length_a 4.2972
_cell_length_b 14.0170
_cell_length_c 10.6820
_cell_angle_alpha 90.00
_cell_angle_beta 90.00
_cell_angle_gamma 90.00
_symmetry_space_group_name_H-M 'C m c m'
_symmetry_Int_Tables_number 63
_symmetry_space_group_name_Hall '-C 2c 2'
loop_
_atom_site_label
_atom_site_type_symbol
_atom_site_fract_x
_atom_site_fract_y
_atom_site_fract_z
In1 In 0.0000 0.2476 0.2500
Pb1 Pb 0.0000 0.5000 0.0000
Cl1 Cl 0.0000 0.1360 0.5571
Cl2 Cl 0.0000 0.4143 0.7500
```



Entry 3:
CuO: theoretical XRD peak list (Cu Kα, 1.54184 Å), based on a PBE-relaxed structure.

Largest 8 diffraction maxima, in order of falling intensity, 2θ = 10–90°:
2θ/deg, I (rel.)
19.90, 100
35.35, 93
42.46, 89
15.48, 79
38.63, 54
14.37, 39
62.85, 38
44.06, 35

Structure:
```
data_CuO
_cell_length_a 6.4615
_cell_length_b 2.8300
_cell_length_c 12.3315
_cell_angle_alpha 90.00
_cell_angle_beta 90.00
_cell_angle_gamma 90.00
_symmetry_space_group_name_H-M 'P n m a'
_symmetry_Int_Tables_number 62
_symmetry_space_group_name_Hall '-P 2ac 2n'
loop_
_atom_site_label
_atom_site_type_symbol
_atom_site_fract_x
_atom_site_fract_y
_atom_site_fract_z
Cu1 Cu 0.1076 0.2500 0.2458
Cu2 Cu 0.1512 0.2500 0.9015
O1 O 0.0439 0.2500 0.1017
O2 O 0.1582 0.2500 0.3907
```